For Ba3LiAs2O8, the PBE geometry in Alexandria gives the simulated XRD peak list in this record (Cu Kα).
Kinematic intensities with the Lorentz-polarization factor, no thermal factor.

Top 10 peaks for 5 to 70 degrees two-theta, low angle first:
20.98 deg, intensity 44; 29.27 deg, intensity 78; 30.41 deg, intensity 100; 35.31 deg, intensity 16; 37.24 deg, intensity 20; 42.71 deg, intensity 44; 53.33 deg, intensity 30; 54.03 deg, intensity 19; 63.27 deg, intensity 17; 69.42 deg, intensity 16

Cell and atoms:
a b c (Å): 5.879 5.879 7.623
angles (deg): 90.00 90.00 120.00
Sites, in units of the cell vectors:
1 Ba 0.000 0.000 0.000
2 Ba 0.333 0.667 0.650
3 Ba 0.667 0.333 0.350
4 Li 0.000 0.000 0.500
5 As 0.333 0.667 0.215
6 As 0.667 0.333 0.785
7 O 0.172 0.345 0.310
8 O 0.172 0.828 0.310
9 O 0.333 0.667 0.984
10 O 0.345 0.172 0.690
11 O 0.655 0.828 0.310
12 O 0.667 0.333 0.016
13 O 0.828 0.172 0.690
14 O 0.828 0.655 0.690



For Ba3LiAs2O8, the PBE geometry in Alexandria gives the simulated XRD peak list in this record (Cu Kα).
Kinematic intensities with the Lorentz-polarization factor, no thermal factor.

Top 10 peaks for 5 to 70 degrees two-theta, low angle first:
27.13 deg, intensity 100; 28.07 deg, intensity 32; 29.41 deg, intensity 65; 34.10 deg, intensity 9; 39.45 deg, intensity 26; 41.39 deg, intensity 13; 46.48 deg, intensity 11; 50.52 deg, intensity 10; 50.78 deg, intensity 22; 61.01 deg, intensity 10

Cell and atoms:
a b c (Å): 6.084 6.084 7.699
angles (deg): 111.50 111.50 62.99
Sites, in units of the cell vectors:
1 Ba 0.000 0.000 0.000
2 Ba 0.295 0.114 0.616
3 Ba 0.886 0.705 0.384
4 Li 0.466 0.534 0.000
5 As 0.504 0.333 0.256
6 As 0.667 0.496 0.744
7 O 0.307 0.232 0.305
8 O 0.332 0.604 0.736
9 O 0.396 0.668 0.264
10 O 0.462 0.220 0.002
11 O 0.768 0.693 0.695
12 O 0.780 0.538 0.998
13 O 0.818 0.157 0.678
14 O 0.843 0.182 0.322



For BaLiAs2S4, the PBE geometry in Alexandria gives the simulated XRD peak list in this record (Cu Kα).
Kinematic intensities with the Lorentz-polarization factor, no thermal factor.

Top 10 peaks for 5 to 70 degrees two-theta, low angle first:
16.53 deg, intensity 41; 26.06 deg, intensity 15; 28.05 deg, intensity 100; 31.34 deg, intensity 15; 32.31 deg, intensity 32; 34.07 deg, intensity 23; 38.29 deg, intensity 36; 43.39 deg, intensity 20; 47.21 deg, intensity 22; 49.04 deg, intensity 22

Cell and atoms:
a b c (Å): 6.390 6.390 6.390
angles (deg): 119.16 115.29 94.91
Sites, in units of the cell vectors:
1 Ba 0.000 0.000 0.000
2 Li 0.500 0.500 0.000
3 As 0.207 0.707 0.500
4 As 0.793 0.293 0.500
5 S 0.151 0.567 0.058
6 S 0.491 0.433 0.583
7 S 0.509 0.092 0.942
8 S 0.849 0.908 0.417



For Ba2LiSn2As4, the PBE geometry in Alexandria gives the simulated XRD peak list in this record (Cu Kα).
Kinematic intensities with the Lorentz-polarization factor, no thermal factor.

Top 10 peaks for 5 to 70 degrees two-theta, low angle first:
22.26 deg, intensity 38; 24.67 deg, intensity 30; 27.18 deg, intensity 33; 29.56 deg, intensity 21; 32.15 deg, intensity 100; 35.68 deg, intensity 40; 35.83 deg, intensity 40; 51.26 deg, intensity 17; 51.46 deg, intensity 29; 52.40 deg, intensity 23

Cell and atoms:
a b c (Å): 8.795 8.795 6.561
angles (deg): 111.85 111.85 33.25
Sites, in units of the cell vectors:
1 Ba 0.137 0.137 0.137
2 Ba 0.863 0.863 0.863
3 Li 0.000 0.000 0.500
4 Sn 0.367 0.367 0.367
5 Sn 0.633 0.633 0.633
6 As 0.198 0.198 0.697
7 As 0.500 0.500 0.218
8 As 0.500 0.500 0.782
9 As 0.802 0.802 0.303



For Ba3MgAs3, the PBE geometry in Alexandria gives the simulated XRD peak list in this record (Cu Kα).
Kinematic intensities with the Lorentz-polarization factor, no thermal factor.

Top 10 peaks for 5 to 70 degrees two-theta, low angle first:
22.45 deg, intensity 30; 25.37 deg, intensity 67; 26.21 deg, intensity 100; 26.34 deg, intensity 88; 27.67 deg, intensity 37; 32.19 deg, intensity 22; 36.80 deg, intensity 61; 36.90 deg, intensity 63; 37.50 deg, intensity 80; 45.82 deg, intensity 44

Cell and atoms:
a b c (Å): 10.789 10.789 13.532
angles (deg): 90.00 90.00 37.97
Sites, in units of the cell vectors:
1 Ba 0.023 0.628 0.131
2 Ba 0.128 0.523 0.631
3 Ba 0.178 0.822 0.850
4 Ba 0.322 0.678 0.350
5 Ba 0.372 0.977 0.131
6 Ba 0.477 0.872 0.631
7 Ba 0.523 0.128 0.369
8 Ba 0.628 0.023 0.869
9 Ba 0.678 0.322 0.650
10 Ba 0.822 0.178 0.150
11 Ba 0.872 0.477 0.369
12 Ba 0.977 0.372 0.869
13 Mg 0.081 0.081 0.500
14 Mg 0.419 0.419 0.000
15 Mg 0.581 0.581 0.000
16 Mg 0.919 0.919 0.500
17 As 0.045 0.634 0.381
18 As 0.134 0.545 0.881
19 As 0.219 0.781 0.605
20 As 0.281 0.719 0.105
21 As 0.366 0.955 0.381
22 As 0.455 0.866 0.881
23 As 0.545 0.134 0.119
24 As 0.634 0.045 0.619
25 As 0.719 0.281 0.895
26 As 0.781 0.219 0.395
27 As 0.866 0.455 0.119
28 As 0.955 0.366 0.619



For BaMgAsO4, the PBE geometry in Alexandria gives the simulated XRD peak list in this record (Cu Kα).
Kinematic intensities with the Lorentz-polarization factor, no thermal factor.

Top 10 peaks for 5 to 70 degrees two-theta, low angle first:
18.14 deg, intensity 13; 20.97 deg, intensity 76; 29.83 deg, intensity 100; 35.14 deg, intensity 14; 36.75 deg, intensity 26; 42.70 deg, intensity 10; 48.03 deg, intensity 31; 52.95 deg, intensity 39; 61.97 deg, intensity 18; 66.19 deg, intensity 15

Cell and atoms:
a b c (Å): 5.990 5.990 5.990
angles (deg): 60.00 60.00 60.00
Sites, in units of the cell vectors:
1 Ba 0.000 0.000 0.000
2 Mg 0.250 0.250 0.250
3 As 0.500 0.500 0.500
4 O 0.380 0.380 0.380
5 O 0.380 0.380 0.860
6 O 0.380 0.860 0.380
7 O 0.860 0.380 0.380



For Ba2MgAsO6, the PBE geometry in Alexandria gives the simulated XRD peak list in this record (Cu Kα).
Kinematic intensities with the Lorentz-polarization factor, no thermal factor.

Top 10 peaks for 5 to 70 degrees two-theta, low angle first:
23.47 deg, intensity 23; 27.95 deg, intensity 75; 30.95 deg, intensity 100; 35.78 deg, intensity 17; 39.20 deg, intensity 25; 42.18 deg, intensity 43; 48.01 deg, intensity 16; 53.23 deg, intensity 22; 55.04 deg, intensity 19; 64.51 deg, intensity 24

Cell and atoms:
a b c (Å): 10.230 10.230 10.230
angles (deg): 32.82 32.82 32.82
Sites, in units of the cell vectors:
1 Ba 0.124 0.124 0.124
2 Ba 0.289 0.289 0.289
3 Ba 0.711 0.711 0.711
4 Ba 0.876 0.876 0.876
5 Mg 0.000 0.000 0.000
6 Mg 0.500 0.500 0.500
7 As 0.410 0.410 0.410
8 As 0.590 0.590 0.590
9 O 0.154 0.599 0.599
10 O 0.219 0.219 0.688
11 O 0.219 0.688 0.219
12 O 0.312 0.781 0.781
13 O 0.401 0.401 0.846
14 O 0.401 0.846 0.401
15 O 0.599 0.154 0.599
16 O 0.599 0.599 0.154
17 O 0.688 0.219 0.219
18 O 0.781 0.312 0.781
19 O 0.781 0.781 0.312
20 O 0.846 0.401 0.401



For Ba2MnAs2, the PBE geometry in Alexandria gives the simulated XRD peak list in this record (Cu Kα).
Kinematic intensities with the Lorentz-polarization factor, no thermal factor.

Top 10 peaks for 5 to 70 degrees two-theta, low angle first:
22.64 deg, intensity 35; 25.24 deg, intensity 51; 26.21 deg, intensity 74; 27.11 deg, intensity 86; 29.47 deg, intensity 86; 32.23 deg, intensity 45; 34.99 deg, intensity 37; 36.70 deg, intensity 67; 37.38 deg, intensity 75; 38.06 deg, intensity 100

Cell and atoms:
a b c (Å): 8.338 8.338 8.338
angles (deg): 129.93 70.69 133.54
Sites, in units of the cell vectors:
1 Ba 0.142 0.187 0.329
2 Ba 0.358 0.687 0.045
3 Ba 0.642 0.313 0.955
4 Ba 0.858 0.813 0.671
5 Mn 0.250 0.750 0.500
6 Mn 0.750 0.250 0.500
7 As 0.107 0.700 0.807
8 As 0.393 0.200 0.594
9 As 0.607 0.800 0.406
10 As 0.893 0.300 0.193